For Li3Ni8O16, a structure optimized by DFT (GGA+U) gives the computed PXRD pattern in this record (Cu Ka).

Cell lengths 4.967, 6.465, 8.555 Å; angles 95.10, 95.21, 96.66 degrees
Sites, in units of the cell vectors:
Li  0.000  0.000  0.000
Li  0.500  0.364  0.635
Li  0.500  0.636  0.365
Ni  0.248  0.934  0.562
Ni  0.250  0.186  0.311
Ni  0.250  0.437  0.062
Ni  0.250  0.686  0.811
Ni  0.750  0.314  0.189
Ni  0.750  0.563  0.938
Ni  0.750  0.814  0.689
Ni  0.752  0.066  0.438
O  0.106  0.687  0.011
O  0.107  0.933  0.763
O  0.134  0.192  0.515
O  0.147  0.445  0.266
O  0.355  0.180  0.107
O  0.377  0.931  0.361
O  0.393  0.439  0.862
O  0.399  0.685  0.610
O  0.601  0.315  0.390
O  0.607  0.561  0.138
O  0.623  0.069  0.639
O  0.645  0.820  0.893
O  0.853  0.555  0.734
O  0.866  0.808  0.485
O  0.893  0.067  0.237
O  0.894  0.313  0.989

Peak list (10 most intense, 15° ≤ 2θ ≤ 90°, by intensity)
hkl, 2theta, intensity
0 1 1, 18.2, 100
1 1 -3, 37.5, 21
2 1 1, 43.8, 17
1 0 -4, 44.8, 16
1 -3 1, 44.9, 15
2 0 0, 36.6, 12
1 0 4, 48.5, 10
1 1 5, 63.4, 8
1 2 -2, 38.9, 7
2 2 2, 57.2, 5